(1)
The following is a computed powder X-ray diffraction pattern of Si3W5. It was derived from a structure optimized by DFT (GGA-PBE), using Cu Kα.

Structure:
a b c (Å): 9.6695 9.6695 4.9988
angles (deg): 90.00 90.00 90.00
Space group I4/mcm (No. 140)
Symmetry-distinct sites (fractional):
Si (0.0000, 0.0000, 0.2500) (multiplicity 4)
Si (0.1680, 0.3320, 0.0000) (multiplicity 8)
W (0.0000, 0.5000, 0.2500) (multiplicity 4)
W (0.0750, 0.2240, 0.5000) (multiplicity 16)

Top 10 peaks for 2θ from 10° to 90°, by angle:
2θ = 27.27°, I = 52, (2 1 1)
2θ = 29.21°, I = 41, (3 1 0)
2θ = 35.93°, I = 28, (0 0 2)
2θ = 38.08°, I = 81, (3 2 1)
2θ = 40.63°, I = 33, (2 0 2)
2θ = 41.78°, I = 56, (4 2 0)
2θ = 42.58°, I = 100, (4 1 1)
2θ = 44.93°, I = 66, (2 2 2)
2θ = 69.16°, I = 24, (4 1 3)
2θ = 69.39°, I = 25, (6 0 2)

=====

(2)
The following is a computed powder X-ray diffraction pattern of MgSb3O7. It was derived from a structure optimized by DFT (GGA-PBE), using Cu Kα.

Structure:
a b c (Å): 10.5605 10.5301 5.4529
angles (deg): 90.00 90.00 90.00
Space group Pnma (No. 62)
Symmetry-distinct sites (fractional):
Mg (0.1476, 0.2500, 0.1900) (multiplicity 4)
Sb (0.1258, 0.0128, 0.6598) (multiplicity 8)
Sb (0.1451, 0.7500, 0.2098) (multiplicity 4)
O (0.0345, 0.2500, 0.8479) (multiplicity 4)
O (0.0446, 0.0911, 0.3502) (multiplicity 8)
O (0.2127, 0.6319, 0.4742) (multiplicity 8)
O (0.2167, 0.6233, 0.9808) (multiplicity 8)

Top 10 peaks for 2θ from 10° to 90°, by angle:
2θ = 18.32°, I = 26, (0 1 1)
2θ = 24.97°, I = 25, (1 2 1)
2θ = 29.01°, I = 100, (2 2 1)
2θ = 33.96°, I = 25, (4 0 0)
2θ = 34.06°, I = 14, (0 4 0)
2θ = 48.01°, I = 16, (0 4 2)
2θ = 48.86°, I = 28, (4 4 0)
2θ = 55.02°, I = 12, (5 0 2)
2θ = 57.76°, I = 14, (6 2 1)
2θ = 57.90°, I = 14, (2 6 1)

=====

(3)
The following is a computed powder X-ray diffraction pattern of In5AgSe8. It was derived from a structure optimized by DFT (GGA-PBE), using Cu Kα.

Structure:
a b c (Å): 5.9005 5.9005 12.0486
angles (deg): 90.00 90.00 90.00
Space group P-42m (No. 111)
Symmetry-distinct sites (fractional):
In (0.0000, 0.0000, 0.0000) (multiplicity 1)
In (0.0000, 0.5000, 0.2544) (multiplicity 4)
Ag (0.5000, 0.5000, 0.5000) (multiplicity 1)
Se (0.2272, 0.2272, 0.6179) (multiplicity 4)
Se (0.2731, 0.2731, 0.1127) (multiplicity 4)

Top 10 peaks for 2θ from 10° to 90°, by angle:
2θ = 16.73°, I = 8, (1 0 1)
2θ = 25.98°, I = 100, (1 1 2)
2θ = 26.85°, I = 8, (1 0 3)
2θ = 34.80°, I = 11, (2 1 1)
2θ = 42.91°, I = 48, (2 0 4)
2θ = 43.37°, I = 24, (2 2 0)
2θ = 50.43°, I = 15, (1 1 6)
2θ = 51.26°, I = 28, (3 1 2)
2θ = 68.66°, I = 11, (3 1 6)
2θ = 79.27°, I = 13, (4 2 4)

=====

(4)
The following is a computed powder X-ray diffraction pattern of NaScTiO4. It was derived from a structure optimized by DFT (GGA-PBE), using Cu Kα.

Structure:
a b c (Å): 3.0679 11.0268 9.4202
angles (deg): 90.00 90.00 90.00
Space group Pmc2_1 (No. 26)
Symmetry-distinct sites (fractional):
Na (0.0000, 0.0980, 0.0000) (multiplicity 2)
Na (0.5000, 0.3999, 0.5123) (multiplicity 2)
Sc (0.5000, 0.1438, 0.6785) (multiplicity 2)
Sc (0.5000, 0.3601, 0.1853) (multiplicity 2)
Ti (0.0000, 0.1382, 0.3197) (multiplicity 2)
Ti (0.0000, 0.3544, 0.8376) (multiplicity 2)
O (0.0000, 0.0278, 0.7412) (multiplicity 2)
O (0.0000, 0.2738, 0.6527) (multiplicity 2)
O (0.0000, 0.3135, 0.3322) (multiplicity 2)
O (0.0000, 0.4045, 0.0409) (multiplicity 2)
O (0.5000, 0.1017, 0.4546) (multiplicity 2)
O (0.5000, 0.1694, 0.1845) (multiplicity 2)
O (0.5000, 0.2387, 0.8791) (multiplicity 2)
O (0.5000, 0.4618, 0.7838) (multiplicity 2)

Top 10 peaks for 2θ from 10° to 90°, by angle:
2θ = 18.65°, I = 42, (0 2 1)
2θ = 18.84°, I = 64, (0 0 2)
2θ = 32.48°, I = 61, (0 4 0)
2θ = 32.82°, I = 100, (0 2 3)
2θ = 34.79°, I = 81, (1 2 1)
2θ = 34.90°, I = 39, (1 0 2)
2θ = 39.44°, I = 36, (1 3 1)
2θ = 48.42°, I = 53, (1 4 2)
2θ = 48.75°, I = 39, (1 0 4)
2θ = 59.80°, I = 38, (1 4 4)